# Zr4AlCo
Simulated powder X-ray diffraction pattern, λ = 1.5418 Å (Cu Kα). Input: the PBE geometry in Alexandria.
Peak positions follow from Bragg's law for the DFT cell and can differ from measured ones.

Largest 6 diffraction maxima, in order of falling intensity, 15 to 90 degrees two-theta:
- 34.4 deg, rel. 100
- 42.4 deg, rel. 28
- 44.2 deg, rel. 18
- 62.1 deg, rel. 17
- 39.7 deg, rel. 16
- 69.4 deg, rel. 15

Atomic structure:
```
data_Zr4AlCo
_chemical_formula_sum 'Zr4 Al1 Co1'
_cell_length_a 5.426
_cell_length_b 5.426
_cell_length_c 5.426
_cell_angle_alpha 103.09
_cell_angle_beta 103.09
_cell_angle_gamma 123.16
_symmetry_space_group_name_H-M 'P 1'
_symmetry_Int_Tables_number 1
loop_
_symmetry_equiv_pos_as_xyz
'x,y,z'
loop_
_atom_site_label
_atom_site_fract_x
_atom_site_fract_y
_atom_site_fract_z
Zr1 0.091 0.591 0.182
Zr2 0.409 0.909 0.818
Zr3 0.591 0.409 0.500
Zr4 0.909 0.091 0.500
Al1 0.500 0.500 0.000
Co1 0.000 0.000 0.000
```

---

# MgAlPd2
Simulated powder X-ray diffraction pattern, λ = 1.5418 Å (Cu Kα). Input: the PBE geometry in Alexandria.
Peak positions follow from Bragg's law for the DFT cell and can differ from measured ones.

Largest 6 diffraction maxima, in order of falling intensity, 15 to 90 degrees two-theta:
- 40.9 deg, rel. 100
- 28.6 deg, rel. 49
- 74.5 deg, rel. 33
- 67.1 deg, rel. 17
- 59.3 deg, rel. 16
- 50.7 deg, rel. 13

Atomic structure:
```
data_MgAlPd2
_chemical_formula_sum 'Mg1 Al1 Pd2'
_cell_length_a 4.410
_cell_length_b 4.410
_cell_length_c 4.410
_cell_angle_alpha 60.00
_cell_angle_beta 60.00
_cell_angle_gamma 60.00
_symmetry_space_group_name_H-M 'P 1'
_symmetry_Int_Tables_number 1
loop_
_symmetry_equiv_pos_as_xyz
'x,y,z'
loop_
_atom_site_label
_atom_site_fract_x
_atom_site_fract_y
_atom_site_fract_z
Mg1 0.000 0.000 0.000
Al1 0.500 0.500 0.500
Pd1 0.250 0.250 0.250
Pd2 0.750 0.750 0.750
```

---

# Na3Ag4Sn7
Simulated powder X-ray diffraction pattern, λ = 1.5418 Å (Cu Kα). Input: the PBE geometry in Alexandria.
Peak positions follow from Bragg's law for the DFT cell and can differ from measured ones.

Largest 6 diffraction maxima, in order of falling intensity, 15 to 90 degrees two-theta:
- 16.8 deg, rel. 100
- 30.5 deg, rel. 97
- 32.8 deg, rel. 94
- 38.7 deg, rel. 92
- 39.5 deg, rel. 89
- 21.2 deg, rel. 73

Atomic structure:
```
data_Na3Ag4Sn7
_chemical_formula_sum 'Na3 Ag4 Sn7'
_cell_length_a 8.897
_cell_length_b 8.897
_cell_length_c 10.649
_cell_angle_alpha 120.21
_cell_angle_beta 120.21
_cell_angle_gamma 29.74
_symmetry_space_group_name_H-M 'P 1'
_symmetry_Int_Tables_number 1
loop_
_symmetry_equiv_pos_as_xyz
'x,y,z'
loop_
_atom_site_label
_atom_site_fract_x
_atom_site_fract_y
_atom_site_fract_z
Na1 0.000 0.000 0.000
Na2 0.314 0.314 0.310
Na3 0.686 0.686 0.690
Ag1 0.117 0.117 0.827
Ag2 0.335 0.335 0.741
Ag3 0.665 0.665 0.259
Ag4 0.883 0.883 0.173
Sn1 0.000 0.000 0.500
Sn2 0.172 0.172 0.438
Sn3 0.315 0.315 0.982
Sn4 0.493 0.493 0.715
Sn5 0.507 0.507 0.285
Sn6 0.685 0.685 0.018
Sn7 0.828 0.828 0.562
```

---

# CsRb4AuO
Simulated powder X-ray diffraction pattern, λ = 1.5418 Å (Cu Kα). Input: the PBE geometry in Alexandria.
Peak positions follow from Bragg's law for the DFT cell and can differ from measured ones.

Largest 6 diffraction maxima, in order of falling intensity, 15 to 90 degrees two-theta:
- 24.9 deg, rel. 100
- 16.1 deg, rel. 98
- 24.6 deg, rel. 65
- 39.0 deg, rel. 51
- 29.7 deg, rel. 50
- 37.3 deg, rel. 43

Atomic structure:
```
data_CsRb4AuO
_chemical_formula_sum 'Cs2 Rb8 Au2 O2'
_cell_length_a 9.730
_cell_length_b 9.730
_cell_length_c 9.745
_cell_angle_alpha 108.14
_cell_angle_beta 108.14
_cell_angle_gamma 68.95
_symmetry_space_group_name_H-M 'P 1'
_symmetry_Int_Tables_number 1
loop_
_symmetry_equiv_pos_as_xyz
'x,y,z'
loop_
_atom_site_label
_atom_site_fract_x
_atom_site_fract_y
_atom_site_fract_z
Cs1 0.022 0.022 0.248
Cs2 0.978 0.978 0.752
Rb1 0.087 0.454 0.802
Rb2 0.349 0.349 0.525
Rb3 0.443 0.443 0.121
Rb4 0.454 0.087 0.802
Rb5 0.546 0.913 0.198
Rb6 0.557 0.557 0.879
Rb7 0.651 0.651 0.475
Rb8 0.913 0.546 0.198
Au1 0.195 0.195 0.074
Au2 0.805 0.805 0.926
O1 0.377 0.377 0.810
O2 0.623 0.623 0.190
```

---

# BaCaCu4O8
Simulated powder X-ray diffraction pattern, λ = 1.5418 Å (Cu Kα). Input: the PBE geometry in Alexandria.
Peak positions follow from Bragg's law for the DFT cell and can differ from measured ones.

Largest 6 diffraction maxima, in order of falling intensity, 15 to 90 degrees two-theta:
- 29.9 deg, rel. 100
- 33.3 deg, rel. 83
- 58.6 deg, rel. 34
- 45.4 deg, rel. 32
- 57.4 deg, rel. 31
- 59.4 deg, rel. 25

Atomic structure:
```
data_BaCaCu4O8
_chemical_formula_sum 'Ba1 Ca1 Cu4 O8'
_cell_length_a 5.387
_cell_length_b 5.387
_cell_length_c 7.766
_cell_angle_alpha 90.00
_cell_angle_beta 90.00
_cell_angle_gamma 120.00
_symmetry_space_group_name_H-M 'P 1'
_symmetry_Int_Tables_number 1
loop_
_symmetry_equiv_pos_as_xyz
'x,y,z'
loop_
_atom_site_label
_atom_site_fract_x
_atom_site_fract_y
_atom_site_fract_z
Ba1 0.000 0.000 0.000
Ca1 0.000 0.000 0.500
Cu1 0.333 0.667 0.240
Cu2 0.333 0.667 0.760
Cu3 0.667 0.333 0.240
Cu4 0.667 0.333 0.760
O1 0.000 0.329 0.297
O2 0.000 0.671 0.703
O3 0.329 0.000 0.297
O4 0.329 0.329 0.703
O5 0.333 0.667 0.000
O6 0.667 0.333 0.000
O7 0.671 0.000 0.703
O8 0.671 0.671 0.297
```

---

# Pr4Y4Ho
Simulated powder X-ray diffraction pattern, λ = 1.5418 Å (Cu Kα). Input: the PBE geometry in Alexandria.
Peak positions follow from Bragg's law for the DFT cell and can differ from measured ones.

Largest 6 diffraction maxima, in order of falling intensity, 15 to 90 degrees two-theta:
- 30.1 deg, rel. 100
- 34.9 deg, rel. 50
- 59.7 deg, rel. 42
- 50.2 deg, rel. 36
- 81.7 deg, rel. 17
- 84.3 deg, rel. 16

Atomic structure:
```
data_Pr4Y4Ho
_chemical_formula_sum 'Pr4 Y4 Ho1'
_cell_length_a 8.123
_cell_length_b 8.123
_cell_length_c 8.123
_cell_angle_alpha 95.74
_cell_angle_beta 95.74
_cell_angle_gamma 143.14
_symmetry_space_group_name_H-M 'P 1'
_symmetry_Int_Tables_number 1
loop_
_symmetry_equiv_pos_as_xyz
'x,y,z'
loop_
_atom_site_label
_atom_site_fract_x
_atom_site_fract_y
_atom_site_fract_z
Pr1 0.000 0.331 0.331
Pr2 0.000 0.669 0.669
Pr3 0.331 0.000 0.331
Pr4 0.669 0.000 0.669
Y1 0.335 0.335 0.669
Y2 0.335 0.665 0.000
Y3 0.665 0.335 0.000
Y4 0.665 0.665 0.331
Ho1 0.000 0.000 0.000
```

---

# Fe7Co3Ge
Simulated powder X-ray diffraction pattern, λ = 1.5418 Å (Cu Kα). Input: the PBE geometry in Alexandria.
Peak positions follow from Bragg's law for the DFT cell and can differ from measured ones.

Largest 6 diffraction maxima, in order of falling intensity, 15 to 90 degrees two-theta:
- 44.5 deg, rel. 100
- 44.7 deg, rel. 91
- 45.7 deg, rel. 83
- 83.9 deg, rel. 27
- 85.8 deg, rel. 23
- 78.4 deg, rel. 21

Atomic structure:
```
data_Fe7Co3Ge
_chemical_formula_sum 'Fe14 Co6 Ge2'
_cell_length_a 10.553
_cell_length_b 10.553
_cell_length_c 9.156
_cell_angle_alpha 90.00
_cell_angle_beta 90.00
_cell_angle_gamma 164.98
_symmetry_space_group_name_H-M 'P 1'
_symmetry_Int_Tables_number 1
loop_
_symmetry_equiv_pos_as_xyz
'x,y,z'
loop_
_atom_site_label
_atom_site_fract_x
_atom_site_fract_y
_atom_site_fract_z
Fe1 0.017 0.983 0.618
Fe2 0.017 0.983 0.882
Fe3 0.145 0.855 0.250
Fe4 0.152 0.848 0.565
Fe5 0.152 0.848 0.935
Fe6 0.283 0.717 0.590
Fe7 0.283 0.717 0.910
Fe8 0.717 0.283 0.090
Fe9 0.717 0.283 0.410
Fe10 0.848 0.152 0.065
Fe11 0.848 0.152 0.435
Fe12 0.855 0.145 0.750
Fe13 0.983 0.017 0.118
Fe14 0.983 0.017 0.382
Co1 0.284 0.716 0.250
Co2 0.420 0.580 0.585
Co3 0.420 0.580 0.915
Co4 0.580 0.420 0.085
Co5 0.580 0.420 0.415
Co6 0.716 0.284 0.750
Ge1 0.403 0.597 0.250
Ge2 0.597 0.403 0.750
```

---

# YbGa4Ge2
Simulated powder X-ray diffraction pattern, λ = 1.5418 Å (Cu Kα). Input: the PBE geometry in Alexandria.
Peak positions follow from Bragg's law for the DFT cell and can differ from measured ones.

Largest 6 diffraction maxima, in order of falling intensity, 15 to 90 degrees two-theta:
- 31.5 deg, rel. 100
- 41.9 deg, rel. 54
- 37.4 deg, rel. 45
- 31.6 deg, rel. 44
- 41.5 deg, rel. 35
- 53.1 deg, rel. 31

Atomic structure:
```
data_YbGa4Ge2
_chemical_formula_sum 'Yb2 Ga8 Ge4'
_cell_length_a 8.624
_cell_length_b 8.624
_cell_length_c 8.624
_cell_angle_alpha 138.22
_cell_angle_beta 138.22
_cell_angle_gamma 60.57
_symmetry_space_group_name_H-M 'P 1'
_symmetry_Int_Tables_number 1
loop_
_symmetry_equiv_pos_as_xyz
'x,y,z'
loop_
_atom_site_label
_atom_site_fract_x
_atom_site_fract_y
_atom_site_fract_z
Yb1 0.000 0.500 0.500
Yb2 0.500 0.000 0.500
Ga1 0.081 0.081 0.000
Ga2 0.363 0.863 0.876
Ga3 0.411 0.411 0.000
Ga4 0.487 0.363 0.500
Ga5 0.581 0.581 0.000
Ga6 0.863 0.987 0.500
Ga7 0.911 0.911 0.000
Ga8 0.987 0.487 0.124
Ge1 0.161 0.984 0.500
Ge2 0.484 0.661 0.500
Ge3 0.661 0.161 0.177
Ge4 0.984 0.484 0.823
```